Simulated XRD peak list
Compound: PmCrCdO4
Radiation: CuKα
Structure: a DFT-relaxed cell (PBE+U, Alexandria)
Intensities are scaled so that the largest is 100.

The 10 most intense peaks (2θ = 10–80°), low angle first:
2θ/deg  intensity
16.9  19
27.1  37
28.0  28
31.1  100
31.8  16
32.2  46
32.4  47
51.5  26
55.9  46
63.5  16

```
PmCrCdO4
1.0
-3.1852 3.4448 4.6292
3.1852 -3.4448 4.6292
3.1852 3.4448 -4.6292
Pm Cr Cd O
2 2 2 8
direct
0.0000 0.0000 0.0000
0.5000 0.0000 0.5000
0.5000 0.0000 0.0000
0.5000 0.5000 0.5000
0.1269 0.3769 0.7500
0.8731 0.6231 0.2500
0.2790 0.2663 0.4873
0.2790 0.7917 0.0127
0.2963 0.7482 0.5481
0.2999 0.2518 0.0481
0.7001 0.7482 0.9519
0.7037 0.2518 0.4519
0.7210 0.2083 0.9873
0.7210 0.7337 0.5127
```